Pa2HgSe4: simulated X-ray powder pattern (Cu Ka), based on a structure optimized by DFT (GGA-PBE).
Kinematic intensities with the Lorentz-polarization factor, no thermal factor.

Top 10 peaks for 5 to 70 degrees two-theta, in order of rising 2θ:
| 2θ (°) | d_spacing | Rel. int. |
| --- | --- | --- |
| 12.52 | 7.068 | 59 |
| 23.41 | 3.801 | 77 |
| 24.11 | 3.691 | 88 |
| 24.79 | 3.591 | 100 |
| 36.80 | 2.442 | 61 |
| 38.20 | 2.356 | 62 |
| 39.55 | 2.279 | 40 |
| 40.88 | 2.208 | 73 |
| 41.73 | 2.164 | 71 |
| 42.58 | 2.123 | 77 |

Crystal structure
```
Pa2HgSe4
1.0
6.1205 -5.8965 0.0000
6.1205 5.8965 0.0000
-6.1196 0.0000 6.3751
Pa Hg Se
4 2 8
Direct
0.0000 0.0000 0.0000 Pa
0.0000 0.0000 0.5000 Pa
0.0000 0.5000 0.0000 Pa
0.5000 0.0000 0.5000 Pa
0.3753 0.6247 0.7500 Hg
0.6247 0.3753 0.2500 Hg
0.2003 0.2157 0.9493 Se
0.2157 0.2003 0.4493 Se
0.2331 0.7492 0.4495 Se
0.2508 0.7669 0.0505 Se
0.7492 0.2331 0.9495 Se
0.7669 0.2508 0.5505 Se
0.7843 0.7997 0.5507 Se
0.7997 0.7843 0.0507 Se
```